(1)
The following is a computed powder diffractogram of Li2VSnP2O8. It was derived from a cell relaxed with GGA+U, using copper Kα.
Peak positions follow from Bragg's law for the DFT cell and can differ from measured ones.

Structure:
Unit cell a=4.869 b=6.404 c=11.189 alpha=90.00 beta=90.46 gamma=90.00
Space group P2_1/m (No. 11)
Asymmetric unit:
Li1 0.000 0.000 0.000 x2
Li2 0.500 0.000 0.500 x2
V1 0.059 0.250 0.712 x2
Sn1 0.470 0.250 0.224 x2
P1 0.091 0.750 0.575 x2
P2 0.351 0.750 0.110 x2
O1 0.205 0.557 0.170 x4
O2 0.206 0.750 0.446 x2
O3 0.222 0.553 0.640 x4
O4 0.225 0.250 0.417 x2
O5 0.253 0.750 0.977 x2
O6 0.337 0.250 0.874 x2

Principal peaks in the range 2θ from 10° to 80°, low angle first:
5.595 Å, intensity 43.7, hkl 0 0 2; 5.558 Å, intensity 19.4, hkl 0 1 1; 3.687 Å, intensity 33.2, hkl 1 0 -2; 3.661 Å, intensity 100.0, hkl 1 1 1; 3.201 Å, intensity 62.5, hkl 0 2 0; 2.696 Å, intensity 44.1, hkl 1 1 -3; 2.678 Å, intensity 50.2, hkl 1 1 3; 2.601 Å, intensity 19.2, hkl 1 2 1

***

(2)
The following is a computed powder diffractogram of Li6VSn3P6O24. It was derived from a cell relaxed with GGA+U, using copper Kα.
Peak positions follow from Bragg's law for the DFT cell and can differ from measured ones.

Structure:
Unit cell a=8.604 b=8.632 c=8.649 alpha=64.25 beta=64.54 gamma=64.41
Space group P1 (No. 1)
Asymmetric unit:
Li1 0.000 0.000 0.000 x1
Li2 0.062 0.514 0.927 x1
Li3 0.268 0.852 0.637 x1
Li4 0.516 0.693 0.303 x1
Li5 0.722 0.387 0.170 x1
Li6 0.896 0.139 0.474 x1
V1 0.899 0.523 0.308 x1
Sn1 0.081 0.703 0.491 x1
Sn2 0.389 0.015 0.792 x1
Sn3 0.600 0.226 0.007 x1
P1 0.189 0.125 0.192 x1
P2 0.326 0.624 0.084 x1
P3 0.504 0.412 0.602 x1
P4 0.673 0.948 0.409 x1
P5 0.793 0.820 0.914 x1
P6 0.999 0.302 0.728 x1
O1 0.017 0.291 0.201 x1
O2 0.065 0.435 0.740 x1
O3 0.143 0.108 0.742 x1
O4 0.156 0.572 0.142 x1
O5 0.167 0.984 0.381 x1
O6 0.205 0.057 0.042 x1
O7 0.321 0.778 0.898 x1
O8 0.341 0.687 0.217 x1
O9 0.361 0.175 0.133 x1
O10 0.362 0.601 0.578 x1
O11 0.429 0.260 0.640 x1
O12 0.484 0.953 0.556 x1
O13 0.506 0.467 0.053 x1
O14 0.575 0.364 0.758 x1
O15 0.627 0.876 0.853 x1
O16 0.653 0.128 0.248 x1
O17 0.662 0.419 0.422 x1
O18 0.731 0.781 0.353 x1
O19 0.776 0.976 0.972 x1
O20 0.792 0.642 0.074 x1
O21 0.806 0.958 0.477 x1
O22 0.848 0.266 0.914 x1
O23 0.946 0.356 0.562 x1
O24 0.977 0.786 0.768 x1

Principal peaks in the range 2θ from 10° to 80°, low angle first:
6.281 Å, intensity 41.9, hkl 0 1 1; 4.598 Å, intensity 100.0, hkl 0 1 -1; 4.301 Å, intensity 75.0, hkl 1 1 2; 4.284 Å, intensity 37.5, hkl 2 1 1; 3.818 Å, intensity 48.8, hkl 0 1 2; 3.802 Å, intensity 59.3, hkl 2 0 1; 2.732 Å, intensity 44.4, hkl 3 2 1; 2.655 Å, intensity 77.2, hkl -2 1 1